Diffraction record for GePH6CCl3. The powder diffraction line list is theoretical, not measured: it uses DFT lattice parameters and positions (GGA-PBE) and a wavelength of 1.5418 Å.

Main lines, sorted by position (2θ from 5° to 70°):
two_theta, d_spacing, I_rel
11.92, 7.425, 62
12.20, 7.255, 100
12.82, 6.907, 78
16.76, 5.290, 28
17.30, 5.127, 31
21.59, 4.116, 25
23.99, 3.710, 24
26.73, 3.335, 46
26.89, 3.316, 43
28.95, 3.085, 23
29.86, 2.992, 22
32.63, 2.744, 33

Cell and atoms:
Cell: 7.469 8.250 14.571 Å, 94.80 91.95 90.52°
Fractional positions:
Ge: 0.000 0.000 0.000
Ge: 0.171 0.504 0.484
Ge: 0.504 0.901 0.037
Ge: 0.692 0.390 0.535
P: 0.026 0.024 0.398
P: 0.147 0.509 0.898
P: 0.548 0.495 0.243
P: 0.636 0.904 0.717
H: 0.021 0.618 0.936
H: 0.027 0.903 0.462
H: 0.059 0.532 0.740
H: 0.063 0.847 0.262
H: 0.115 0.162 0.442
H: 0.125 0.053 0.246
H: 0.170 0.384 0.958
H: 0.173 0.346 0.755
H: 0.272 0.929 0.310
H: 0.312 0.592 0.896
H: 0.336 0.996 0.705
H: 0.360 0.489 0.229
H: 0.394 0.863 0.607
H: 0.475 0.070 0.618
H: 0.587 0.411 0.321
H: 0.594 0.776 0.772
H: 0.598 0.660 0.260
H: 0.612 0.278 0.130
H: 0.629 0.474 0.085
H: 0.709 0.030 0.779
H: 0.772 0.846 0.659
H: 0.803 0.407 0.160
H: 0.846 0.067 0.382
H: 0.945 0.367 0.788
C: 0.073 0.431 0.784
C: 0.132 0.957 0.294
C: 0.441 0.965 0.655
C: 0.658 0.404 0.144
Cl: 0.030 0.713 0.578
Cl: 0.175 0.951 0.867
Cl: 0.184 0.204 0.082
Cl: 0.291 0.716 0.090
Cl: 0.400 0.675 0.440
Cl: 0.504 0.432 0.660
Cl: 0.506 0.204 0.438
Cl: 0.657 0.692 0.947
Cl: 0.689 0.914 0.173
Cl: 0.802 0.183 0.934
Cl: 0.861 0.175 0.596
Cl: 0.994 0.516 0.346

=====

Diffraction record for Tb3TlBi. The powder diffraction line list is theoretical, not measured: it uses DFT lattice parameters and positions (GGA-PBE) and a wavelength of 1.5418 Å.

Main lines, sorted by position (2θ from 5° to 70°):
two_theta, d_spacing, I_rel
20.91, 4.249, 31
22.28, 3.990, 20
27.98, 3.189, 100
30.20, 2.959, 19
31.64, 2.828, 92
33.92, 2.643, 63
34.60, 2.593, 73
38.30, 2.350, 34
45.47, 1.995, 19
47.07, 1.931, 62
57.92, 1.592, 18
67.96, 1.379, 19

Cell and atoms:
Cell: 8.954 8.954 5.286 Å, 90.00 90.00 127.08°
Fractional positions:
Tb: 0.000 0.500 0.500
Tb: 0.171 0.829 0.000
Tb: 0.313 0.313 0.500
Tb: 0.500 0.000 0.500
Tb: 0.687 0.687 0.500
Tb: 0.829 0.171 0.000
Tl: 0.097 0.903 0.500
Tl: 0.903 0.097 0.500
Bi: 0.372 0.628 0.000
Bi: 0.628 0.372 0.000

=====

Diffraction record for Re5TcB3. The powder diffraction line list is theoretical, not measured: it uses DFT lattice parameters and positions (GGA-PBE) and a wavelength of 1.5418 Å.

Main lines, sorted by position (2θ from 5° to 70°):
two_theta, d_spacing, I_rel
33.81, 2.651, 26
33.92, 2.643, 31
38.09, 2.363, 56
38.92, 2.314, 69
39.01, 2.309, 33
39.15, 2.301, 34
39.80, 2.265, 100
51.74, 1.767, 20
51.93, 1.761, 9
60.00, 1.542, 15
61.64, 1.505, 13
61.85, 1.500, 13

Cell and atoms:
Cell: 5.628 6.022 7.659 Å, 68.22 72.53 73.64°
Fractional positions:
Re: 0.074 0.156 0.203
Re: 0.291 0.202 0.448
Re: 0.296 0.667 0.470
Re: 0.371 0.963 0.873
Re: 0.391 0.495 0.869
Re: 0.609 0.505 0.131
Re: 0.629 0.037 0.127
Re: 0.704 0.333 0.530
Re: 0.709 0.798 0.552
Re: 0.926 0.844 0.797
Tc: 0.036 0.676 0.191
Tc: 0.964 0.324 0.809
B: 0.000 0.500 0.000
B: 0.000 0.500 0.500
B: 0.307 0.852 0.657
B: 0.344 0.831 0.173
B: 0.656 0.169 0.827
B: 0.693 0.148 0.343

=====

Diffraction record for Ba4AlIr2O10. The powder diffraction line list is theoretical, not measured: it uses DFT lattice parameters and positions (GGA-PBE) and a wavelength of 1.5418 Å.

Main lines, sorted by position (2θ from 5° to 70°):
two_theta, d_spacing, I_rel
13.05, 6.782, 19
17.96, 4.940, 36
26.26, 3.394, 42
26.97, 3.306, 25
28.45, 3.137, 100
30.88, 2.896, 63
32.30, 2.771, 73
40.48, 2.228, 21
40.98, 2.203, 29
41.46, 2.178, 25
42.11, 2.146, 21
48.57, 1.875, 19

Cell and atoms:
Cell: 7.374 7.374 13.223 Å, 90.00 90.00 133.76°
Fractional positions:
Ba: 0.008 0.992 0.500
Ba: 0.216 0.784 0.738
Ba: 0.285 0.715 0.023
Ba: 0.488 0.512 0.266
Ba: 0.512 0.488 0.766
Ba: 0.715 0.285 0.523
Ba: 0.784 0.216 0.238
Ba: 0.992 0.008 0.000
Al: 0.393 0.607 0.537
Al: 0.607 0.393 0.037
Ir: 0.127 0.873 0.230
Ir: 0.249 0.751 0.390
Ir: 0.751 0.249 0.890
Ir: 0.873 0.127 0.730
O: 0.018 0.982 0.726
O: 0.089 0.369 0.845
O: 0.127 0.390 0.630
O: 0.141 0.425 0.428
O: 0.207 0.793 0.534
O: 0.282 0.718 0.237
O: 0.369 0.089 0.345
O: 0.390 0.127 0.130
O: 0.425 0.141 0.928
O: 0.475 0.525 0.043
O: 0.525 0.475 0.543
O: 0.575 0.859 0.428
O: 0.610 0.873 0.630
O: 0.631 0.911 0.845
O: 0.718 0.282 0.737
O: 0.793 0.207 0.034
O: 0.859 0.575 0.928
O: 0.873 0.610 0.130
O: 0.911 0.631 0.345
O: 0.982 0.018 0.226

=====

Diffraction record for Pa2ZnGa5. The powder diffraction line list is theoretical, not measured: it uses DFT lattice parameters and positions (GGA-PBE) and a wavelength of 1.5418 Å.

Main lines, sorted by position (2θ from 5° to 70°):
two_theta, d_spacing, I_rel
20.62, 4.307, 23
20.78, 4.274, 11
29.33, 3.045, 10
29.44, 3.034, 20
36.22, 2.480, 100
41.96, 2.153, 33
42.29, 2.137, 16
47.23, 1.925, 11
47.50, 1.914, 6
52.09, 1.756, 9
60.84, 1.523, 11
61.10, 1.517, 22

Cell and atoms:
Cell: 6.090 6.090 8.548 Å, 90.00 90.00 90.00°
Fractional positions:
Pa: 0.000 0.500 0.000
Pa: 0.000 0.500 0.500
Pa: 0.500 0.000 0.000
Pa: 0.500 0.000 0.500
Zn: 0.000 0.000 0.001
Zn: 0.500 0.500 0.501
Ga: 0.000 0.000 0.500
Ga: 0.250 0.250 0.250
Ga: 0.250 0.250 0.750
Ga: 0.250 0.750 0.250
Ga: 0.250 0.750 0.750
Ga: 0.500 0.500 0.000
Ga: 0.750 0.250 0.250
Ga: 0.750 0.250 0.750
Ga: 0.750 0.750 0.250
Ga: 0.750 0.750 0.750

=====

Diffraction record for Zr4FeN. The powder diffraction line list is theoretical, not measured: it uses DFT lattice parameters and positions (GGA-PBE) and a wavelength of 1.5418 Å.

Main lines, sorted by position (2θ from 5° to 70°):
two_theta, d_spacing, I_rel
21.93, 4.053, 18
31.19, 2.868, 28
34.19, 2.623, 100
34.93, 2.569, 8
35.04, 2.561, 27
44.08, 2.054, 22
44.60, 2.032, 14
53.32, 1.718, 11
54.96, 1.671, 27
57.51, 1.603, 8
65.39, 1.427, 11
67.24, 1.392, 8

Cell and atoms:
Cell: 8.095 8.127 3.437 Å, 90.00 90.00 90.00°
Fractional positions:
Zr: 0.000 0.215 0.000
Zr: 0.000 0.785 0.000
Zr: 0.186 0.500 0.500
Zr: 0.314 0.000 0.500
Zr: 0.500 0.285 0.000
Zr: 0.500 0.715 0.000
Zr: 0.686 0.000 0.500
Zr: 0.814 0.500 0.500
Fe: 0.000 0.000 0.500
Fe: 0.500 0.500 0.500
N: 0.000 0.500 0.000
N: 0.500 0.000 0.000

=====

Diffraction record for MgU4Se8. The powder diffraction line list is theoretical, not measured: it uses DFT lattice parameters and positions (GGA-PBE) and a wavelength of 1.5418 Å.

Main lines, sorted by position (2θ from 5° to 70°):
two_theta, d_spacing, I_rel
18.58, 4.775, 89
31.31, 2.856, 59
36.66, 2.451, 100
37.67, 2.388, 49
42.32, 2.136, 24
49.77, 1.832, 32
51.26, 1.782, 10
54.34, 1.688, 17
54.99, 1.670, 11
65.34, 1.428, 20
67.34, 1.390, 33
68.58, 1.368, 12

Cell and atoms:
Cell: 7.636 7.636 7.636 Å, 102.58 102.58 124.35°
Fractional positions:
Mg: 0.000 0.000 0.000
U: 0.000 0.000 0.500
U: 0.000 0.500 0.000
U: 0.500 0.000 0.000
U: 0.500 0.500 0.500
Se: 0.000 0.270 0.270
Se: 0.000 0.730 0.730
Se: 0.260 0.500 0.760
Se: 0.270 0.000 0.270
Se: 0.500 0.260 0.760
Se: 0.500 0.740 0.240
Se: 0.730 0.000 0.730
Se: 0.740 0.500 0.240

=====

Diffraction record for Rb5BiS4. The powder diffraction line list is theoretical, not measured: it uses DFT lattice parameters and positions (GGA-PBE) and a wavelength of 1.5418 Å.

Main lines, sorted by position (2θ from 5° to 70°):
two_theta, d_spacing, I_rel
9.68, 9.139, 19
11.39, 7.766, 38
22.90, 3.883, 39
24.13, 3.688, 62
28.54, 3.127, 20
28.78, 3.102, 100
29.32, 3.046, 47
37.71, 2.385, 52
38.87, 2.317, 21
45.11, 2.010, 26
49.14, 1.854, 20
49.42, 1.844, 21

Cell and atoms:
Cell: 10.358 10.358 8.579 Å, 114.46 114.46 25.85°
Fractional positions:
Rb: 0.000 0.000 0.000
Rb: 0.331 0.331 0.083
Rb: 0.331 0.331 0.577
Rb: 0.669 0.669 0.423
Rb: 0.669 0.669 0.917
Bi: 0.000 0.000 0.500
S: 0.167 0.167 0.668
S: 0.500 0.500 0.277
S: 0.500 0.500 0.723
S: 0.833 0.833 0.332

=====

Diffraction record for Th2MnCuGe6. The powder diffraction line list is theoretical, not measured: it uses DFT lattice parameters and positions (GGA-PBE) and a wavelength of 1.5418 Å.

Main lines, sorted by position (2θ from 5° to 70°):
two_theta, d_spacing, I_rel
20.74, 4.282, 32
28.74, 3.106, 68
30.27, 2.953, 100
33.71, 2.659, 14
35.71, 2.514, 90
37.89, 2.374, 74
42.21, 2.141, 36
46.47, 1.954, 27
48.46, 1.878, 23
55.86, 1.646, 16
59.53, 1.553, 34
68.25, 1.374, 28

Cell and atoms:
Cell: 12.326 12.326 12.326 Å, 29.19 29.19 29.19°
Fractional positions:
Th: 0.110 0.110 0.110
Th: 0.293 0.293 0.293
Th: 0.707 0.707 0.707
Th: 0.890 0.890 0.890
Mn: 0.000 0.000 0.000
Mn: 0.500 0.500 0.500
Cu: 0.429 0.429 0.429
Cu: 0.571 0.571 0.571
Ge: 0.072 0.663 0.663
Ge: 0.227 0.227 0.669
Ge: 0.227 0.669 0.227
Ge: 0.331 0.773 0.773
Ge: 0.337 0.337 0.928
Ge: 0.337 0.928 0.337
Ge: 0.663 0.072 0.663
Ge: 0.663 0.663 0.072
Ge: 0.669 0.227 0.227
Ge: 0.773 0.331 0.773
Ge: 0.773 0.773 0.331
Ge: 0.928 0.337 0.337